Record 1
Diffraction record for Eu5Ga9. The powder X-ray diffraction pattern is calculated, not measured: it uses a DFT-relaxed cell (GGA-PBE, Alexandria) and Cu Kα, 1.54184 Å.
Lines closer than 0.1° are merged.

The 6 most intense peaks (2θ from 15° to 90°), in order of rising 2θ:
2.793 Å, intensity 100
2.781 Å, intensity 68
2.718 Å, intensity 22
2.300 Å, intensity 46
2.259 Å, intensity 30
1.723 Å, intensity 25

Structural model:
```
28
Lattice="2.300 -5.436 0.000 2.300 5.436 0.000 0.000 0.000 25.998" Properties=species:S:1:pos:R:3 pbc="T T T"
Eu 2.300 4.125 19.499
Eu 2.300 3.686 4.367
Eu 2.300 3.686 8.632
Eu 2.300 1.609 1.091
Eu 2.300 1.609 11.908
Eu 2.300 -1.609 14.090
Eu 2.300 -1.609 24.907
Eu 2.300 -3.686 17.366
Eu 2.300 -3.686 21.631
Eu 2.300 -4.125 6.500
Ga 2.300 4.884 1.222
Ga 2.300 4.884 11.777
Ga 2.300 4.021 16.218
Ga 2.300 4.021 22.779
Ga 2.300 1.531 15.180
Ga 2.300 1.531 23.817
Ga 2.300 0.935 19.499
Ga 2.300 0.441 4.203
Ga 2.300 0.441 8.796
Ga 2.300 -0.441 17.202
Ga 2.300 -0.441 21.795
Ga 2.300 -0.935 6.500
Ga 2.300 -1.531 2.181
Ga 2.300 -1.531 10.818
Ga 2.300 -4.021 3.219
Ga 2.300 -4.021 9.780
Ga 2.300 -4.884 14.221
Ga 2.300 -4.884 24.776
```

Record 2
Diffraction record for Eu2Ga2GeS7. The powder X-ray diffraction pattern is calculated, not measured: it uses a DFT-relaxed cell (GGA-PBE, Alexandria) and Cu Kα, 1.54184 Å.
Lines closer than 0.1° are merged.

The 6 most intense peaks (2θ from 15° to 90°), in order of rising 2θ:
4.659 Å, intensity 19
3.584 Å, intensity 100
3.073 Å, intensity 24
2.207 Å, intensity 46
1.900 Å, intensity 21
1.736 Å, intensity 21

Structural model:
```
24
Lattice="9.717 0.000 0.000 0.000 9.717 0.000 0.000 0.000 6.338" Properties=species:S:1:pos:R:3 pbc="T T T"
Eu 1.475 3.383 0.108
Eu 3.383 8.242 6.230
Eu 6.334 1.475 6.230
Eu 8.242 6.334 0.108
Ga 1.426 6.285 3.324
Ga 3.432 1.426 3.014
Ga 6.285 8.291 3.014
Ga 8.291 3.432 3.324
Ge 0.000 0.000 3.169
Ge 4.859 4.859 3.169
S 0.000 4.859 4.407
S 0.807 8.169 4.586
S 1.412 6.271 1.116
S 1.548 0.807 1.751
S 3.311 5.666 4.586
S 3.447 1.412 5.221
S 4.052 3.311 1.751
S 4.859 0.000 1.931
S 5.666 6.407 1.751
S 6.271 8.305 5.221
S 6.407 4.052 4.586
S 8.169 8.910 1.751
S 8.305 3.447 1.116
S 8.910 1.548 4.586
```

Record 3
Diffraction record for LaEuGa4. The powder X-ray diffraction pattern is calculated, not measured: it uses a DFT-relaxed cell (GGA-PBE, Alexandria) and Cu Kα, 1.54184 Å.
Lines closer than 0.1° are merged.

The 6 most intense peaks (2θ from 15° to 90°), in order of rising 2θ:
2.843 Å, intensity 53
2.425 Å, intensity 100
2.322 Å, intensity 21
1.642 Å, intensity 20
1.548 Å, intensity 33
1.422 Å, intensity 25

Structural model:
```
6
Lattice="0.000 4.021 4.021 4.021 0.000 4.021 4.021 4.021 0.000" Properties=species:S:1:pos:R:3 pbc="T T T"
La 0.000 0.000 0.000
Eu 6.032 6.032 6.032
Ga 3.015 3.015 3.015
Ga 5.027 5.027 3.015
Ga 5.027 3.015 5.027
Ga 3.015 5.027 5.027
```

Record 4
Diffraction record for TbEuMgGa. The powder X-ray diffraction pattern is calculated, not measured: it uses a DFT-relaxed cell (GGA-PBE, Alexandria) and Cu Kα, 1.54184 Å.
Lines closer than 0.1° are merged.

The 6 most intense peaks (2θ from 15° to 90°), in order of rising 2θ:
3.754 Å, intensity 32
2.655 Å, intensity 100
1.877 Å, intensity 18
1.679 Å, intensity 14
1.533 Å, intensity 37
1.187 Å, intensity 16

Structural model:
```
16
Lattice="7.508 0.000 0.000 0.000 7.508 0.000 0.000 0.000 7.508" Properties=species:S:1:pos:R:3 pbc="T T T"
Tb 0.000 0.000 0.000
Tb 0.000 3.754 3.754
Tb 3.754 0.000 3.754
Tb 3.754 3.754 0.000
Eu 0.000 0.000 3.754
Eu 0.000 3.754 0.000
Eu 3.754 0.000 0.000
Eu 3.754 3.754 3.754
Mg 1.877 1.877 5.631
Mg 1.877 5.631 1.877
Mg 5.631 1.877 1.877
Mg 5.631 5.631 5.631
Ga 1.877 1.877 1.877
Ga 1.877 5.631 5.631
Ga 5.631 1.877 5.631
Ga 5.631 5.631 1.877
```

Record 5
Diffraction record for Eu2Ga2O5. The powder X-ray diffraction pattern is calculated, not measured: it uses a DFT-relaxed cell (GGA-PBE, Alexandria) and Cu Kα, 1.54184 Å.
Lines closer than 0.1° are merged.

The 6 most intense peaks (2θ from 15° to 90°), in order of rising 2θ:
2.785 Å, intensity 45
2.730 Å, intensity 100
2.244 Å, intensity 16
1.969 Å, intensity 28
1.597 Å, intensity 40
1.566 Å, intensity 18

Structural model:
```
9
Lattice="3.938 0.000 0.000 0.000 3.938 0.000 0.000 0.000 7.576" Properties=species:S:1:pos:R:3 pbc="T T T"
Eu 0.000 0.000 0.000
Eu 0.000 0.000 3.788
Ga 1.969 1.969 1.893
Ga 1.969 1.969 5.682
O 0.000 1.969 1.627
O 0.000 1.969 5.949
O 1.969 0.000 1.627
O 1.969 0.000 5.949
O 1.969 1.969 3.788
```

Record 6
Diffraction record for EuGa3Pd. The powder X-ray diffraction pattern is calculated, not measured: it uses a DFT-relaxed cell (GGA-PBE, Alexandria) and Cu Kα, 1.54184 Å.
Lines closer than 0.1° are merged.

The 6 most intense peaks (2θ from 15° to 90°), in order of rising 2θ:
3.229 Å, intensity 25
2.746 Å, intensity 63
2.722 Å, intensity 100
2.578 Å, intensity 58
2.183 Å, intensity 92
1.749 Å, intensity 27

Structural model:
```
10
Lattice="3.229 -5.222 0.000 3.229 5.222 0.000 0.000 0.000 5.928" Properties=species:S:1:pos:R:3 pbc="T T T"
Eu 3.229 2.791 4.446
Eu 3.229 -2.791 1.482
Ga 1.831 0.000 0.000
Ga 1.831 0.000 2.964
Ga 3.229 1.722 1.482
Ga 3.229 -1.722 4.446
Ga 4.626 0.000 0.000
Ga 4.626 0.000 2.964
Pd 3.229 4.215 1.482
Pd 3.229 -4.215 4.446
```